(1)
Diffraction record for PuSn4. The powder diffraction line list is theoretical, not measured: it uses a PBE-relaxed structure and Cu Ka.
Lines closer than 0.1° are merged.

```
PuSn4
1.0
-1.686 3.241 12.235
1.686 -3.241 12.235
1.686 3.241 -12.235
Pu Sn
2 8
direct
0.347 0.097 0.250
0.653 0.903 0.750
0.000 0.500 0.500
0.153 0.903 0.250
0.184 0.695 0.489
0.294 0.305 0.989
0.500 0.500 0.000
0.706 0.695 0.011
0.816 0.305 0.511
0.847 0.097 0.750
```

Top 10 peaks for 15° ≤ 2θ ≤ 90°, by angle:
31.23°, d 2.864, rel. 41; 32.23°, d 2.777, rel. 100; 35.38°, d 2.537, rel. 46; 36.73°, d 2.447, rel. 34; 38.71°, d 2.326, rel. 59; 51.57°, d 1.772, rel. 15; 57.17°, d 1.611, rel. 28; 63.33°, d 1.469, rel. 14; 66.59°, d 1.404, rel. 16; 66.85°, d 1.400, rel. 26



(2)
Diffraction record for Al2Ge2Te. The powder diffraction line list is theoretical, not measured: it uses a PBE-relaxed structure and Cu Ka.
Lines closer than 0.1° are merged.

```
Al2Ge2Te
1.0
4.624 0.000 0.000
0.000 4.624 0.000
0.000 0.000 9.994
Al Ge Te
4 4 2
direct
0.000 0.500 0.250
0.000 0.500 0.750
0.500 0.000 0.250
0.500 0.000 0.750
0.000 0.000 0.123
0.000 0.000 0.877
0.500 0.500 0.377
0.500 0.500 0.623
0.000 0.000 0.500
0.500 0.500 0.000
```

Top 10 peaks for 15° ≤ 2θ ≤ 90°, by angle:
27.28°, d 3.270, rel. 79; 32.73°, d 2.736, rel. 67; 33.14°, d 2.703, rel. 100; 38.96°, d 2.312, rel. 68; 49.69°, d 1.835, rel. 35; 52.05°, d 1.757, rel. 55; 56.27°, d 1.635, rel. 23; 64.88°, d 1.437, rel. 31; 66.64°, d 1.403, rel. 17; 89.09°, d 1.099, rel. 19



(3)
Diffraction record for MnHI4. The powder diffraction line list is theoretical, not measured: it uses a PBE-relaxed structure and Cu Ka.
Lines closer than 0.1° are merged.

```
MnHI4
1.0
3.444 -9.957 0.000
3.444 9.957 0.000
-0.793 0.000 6.929
Mn H I
2 2 8
direct
0.055 0.945 0.750
0.945 0.055 0.250
0.351 0.649 0.250
0.649 0.351 0.750
0.083 0.394 0.121
0.178 0.275 0.586
0.275 0.178 0.086
0.394 0.083 0.621
0.606 0.917 0.379
0.725 0.822 0.914
0.822 0.725 0.414
0.917 0.606 0.879
```

Top 10 peaks for 15° ≤ 2θ ≤ 90°, by angle:
15.58°, d 5.688, rel. 37; 21.98°, d 4.043, rel. 37; 26.04°, d 3.421, rel. 65; 27.87°, d 3.201, rel. 58; 28.28°, d 3.156, rel. 100; 29.63°, d 3.015, rel. 67; 30.55°, d 2.926, rel. 69; 33.16°, d 2.702, rel. 53; 45.29°, d 2.002, rel. 35; 49.10°, d 1.856, rel. 32



(4)
Diffraction record for Mn2In2Se5. The powder diffraction line list is theoretical, not measured: it uses a PBE-relaxed structure and Cu Ka.
Lines closer than 0.1° are merged.

```
Mn2In2Se5
1.0
2.021 1.167 16.842
-2.021 1.167 16.842
0.000 -2.334 16.842
Mn In Se
2 2 5
direct
0.197 0.197 0.197
0.803 0.803 0.803
0.060 0.060 0.060
0.940 0.940 0.940
0.111 0.111 0.111
0.368 0.368 0.368
0.500 0.500 0.500
0.632 0.632 0.632
0.889 0.889 0.889
```

Top 10 peaks for 15° ≤ 2θ ≤ 90°, by angle:
15.79°, d 5.614, rel. 21; 21.10°, d 4.211, rel. 20; 25.50°, d 3.493, rel. 20; 25.69°, d 3.468, rel. 17; 26.42°, d 3.374, rel. 18; 28.33°, d 3.150, rel. 100; 38.39°, d 2.345, rel. 51; 42.70°, d 2.118, rel. 17; 44.84°, d 2.021, rel. 67; 48.95°, d 1.861, rel. 41



(5)
Diffraction record for Dy6Y4Er. The powder diffraction line list is theoretical, not measured: it uses a PBE-relaxed structure and Cu Ka.
Lines closer than 0.1° are merged.

```
Dy6Y4Er
1.0
-3.267 3.267 8.552
3.267 -3.267 8.552
3.267 3.267 -8.552
Dy Y Er
6 4 1
direct
0.000 0.500 0.500
0.049 0.691 0.000
0.309 0.309 0.357
0.500 0.000 0.500
0.691 0.049 0.000
0.951 0.951 0.643
0.139 0.139 0.627
0.487 0.861 0.000
0.513 0.513 0.373
0.861 0.487 0.000
0.500 0.500 0.000
```

Top 10 peaks for 15° ≤ 2θ ≤ 90°, by angle:
20.70°, d 4.291, rel. 25; 21.87°, d 4.065, rel. 31; 29.27°, d 3.052, rel. 61; 29.47°, d 3.031, rel. 25; 31.05°, d 2.880, rel. 85; 31.38°, d 2.851, rel. 27; 34.54°, d 2.597, rel. 100; 37.06°, d 2.426, rel. 27; 38.99°, d 2.310, rel. 27; 40.61°, d 2.222, rel. 34



(6)
Diffraction record for Th2ZrScP4. The powder diffraction line list is theoretical, not measured: it uses a PBE-relaxed structure and Cu Ka.
Lines closer than 0.1° are merged.

```
Th2ZrScP4
1.0
6.798 0.000 0.000
0.000 3.956 0.000
-2.298 0.000 6.480
Th Zr Sc P
2 1 1 4
direct
0.000 0.000 0.000
0.000 0.500 0.500
0.500 0.000 0.500
0.500 0.500 0.000
0.274 0.500 0.257
0.275 0.000 0.759
0.725 0.000 0.241
0.726 0.500 0.743
```

Top 10 peaks for 15° ≤ 2θ ≤ 90°, by angle:
26.38°, d 3.378, rel. 32; 27.53°, d 3.240, rel. 21; 27.64°, d 3.228, rel. 41; 27.85°, d 3.203, rel. 21; 32.05°, d 2.793, rel. 100; 45.75°, d 1.983, rel. 25; 46.17°, d 1.966, rel. 23; 54.34°, d 1.688, rel. 14; 54.51°, d 1.683, rel. 14; 57.07°, d 1.614, rel. 13



(7)
Diffraction record for Ac4Pr3In4. The powder diffraction line list is theoretical, not measured: it uses a PBE-relaxed structure and Cu Ka.
Lines closer than 0.1° are merged.

```
Ac4Pr3In4
1.0
-1.931 5.012 10.176
1.931 -5.012 10.176
1.931 5.012 -10.176
Ac Pr In
4 3 4
direct
0.015 0.836 0.180
0.344 0.164 0.180
0.656 0.836 0.820
0.985 0.164 0.820
0.000 0.500 0.500
0.408 0.408 0.000
0.592 0.592 0.000
0.278 0.778 0.500
0.280 0.000 0.280
0.720 0.000 0.720
0.722 0.222 0.500
```

Top 10 peaks for 15° ≤ 2θ ≤ 90°, by angle:
26.27°, d 3.392, rel. 31; 26.56°, d 3.356, rel. 59; 29.53°, d 3.025, rel. 89; 29.80°, d 2.998, rel. 100; 30.40°, d 2.941, rel. 68; 31.90°, d 2.806, rel. 97; 36.64°, d 2.452, rel. 37; 44.72°, d 2.026, rel. 43; 54.66°, d 1.679, rel. 35; 56.71°, d 1.623, rel. 33



(8)
Diffraction record for Mg2Si2SbRh5. The powder diffraction line list is theoretical, not measured: it uses a PBE-relaxed structure and Cu Ka.
Lines closer than 0.1° are merged.

```
Mg2Si2SbRh5
1.0
9.558 0.000 0.000
0.000 9.558 0.000
0.000 0.000 3.433
Mg Si Sb Rh
4 4 2 10
direct
0.172 0.328 0.000
0.328 0.828 0.000
0.672 0.172 0.000
0.828 0.672 0.000
0.126 0.626 0.000
0.374 0.126 0.000
0.626 0.874 0.000
0.874 0.374 0.000
0.000 0.000 0.000
0.500 0.500 0.000
0.000 0.500 0.500
0.075 0.790 0.500
0.210 0.075 0.500
0.290 0.575 0.500
0.425 0.290 0.500
0.500 0.000 0.500
0.575 0.710 0.500
0.710 0.425 0.500
0.790 0.925 0.500
0.925 0.210 0.500
```

Top 10 peaks for 15° ≤ 2θ ≤ 90°, by angle:
18.57°, d 4.779, rel. 20; 20.78°, d 4.275, rel. 27; 25.96°, d 3.433, rel. 22; 37.34°, d 2.408, rel. 23; 38.85°, d 2.318, rel. 33; 39.73°, d 2.268, rel. 100; 42.29°, d 2.137, rel. 35; 43.11°, d 2.098, rel. 36; 47.32°, d 1.921, rel. 21; 75.61°, d 1.258, rel. 26



(9)
Diffraction record for Ac3Ce2Te8. The powder diffraction line list is theoretical, not measured: it uses a PBE-relaxed structure and Cu Ka.
Lines closer than 0.1° are merged.

```
Ac3Ce2Te8
1.0
5.590 -7.867 0.000
5.590 7.867 0.000
0.000 0.000 5.528
Ac Ce Te
3 2 8
direct
0.000 0.000 0.000
0.279 0.279 0.500
0.721 0.721 0.500
0.262 0.738 0.000
0.738 0.262 0.000
0.113 0.372 0.000
0.123 0.877 0.500
0.362 0.638 0.500
0.372 0.113 0.000
0.628 0.887 0.000
0.638 0.362 0.500
0.877 0.123 0.500
0.887 0.628 0.000
```

Top 10 peaks for 15° ≤ 2θ ≤ 90°, by angle:
18.75°, d 4.732, rel. 11; 19.48°, d 4.557, rel. 11; 19.63°, d 4.523, rel. 12; 32.02°, d 2.795, rel. 24; 32.19°, d 2.780, rel. 100; 32.39°, d 2.764, rel. 26; 46.18°, d 1.966, rel. 26; 57.22°, d 1.610, rel. 23; 57.65°, d 1.599, rel. 19; 76.63°, d 1.243, rel. 13



(10)
Diffraction record for Ce7Os2Ru2. The powder diffraction line list is theoretical, not measured: it uses a PBE-relaxed structure and Cu Ka.
Lines closer than 0.1° are merged.

```
Ce7Os2Ru2
1.0
5.295 -3.661 0.000
5.295 3.661 0.000
-0.948 0.000 6.869
Ce Os Ru
7 2 2
direct
0.000 0.000 0.000
0.004 0.515 0.297
0.469 0.469 0.739
0.485 0.996 0.703
0.515 0.004 0.297
0.531 0.531 0.261
0.996 0.485 0.703
0.174 0.826 0.500
0.826 0.174 0.500
0.293 0.293 0.046
0.707 0.707 0.954
```

Top 10 peaks for 15° ≤ 2θ ≤ 90°, by angle:
27.61°, d 3.231, rel. 93; 28.92°, d 3.087, rel. 75; 29.76°, d 3.002, rel. 50; 34.19°, d 2.623, rel. 100; 36.20°, d 2.481, rel. 34; 38.24°, d 2.353, rel. 88; 41.16°, d 2.193, rel. 36; 41.47°, d 2.178, rel. 44; 43.00°, d 2.103, rel. 30; 48.35°, d 1.882, rel. 35